Starting from a DFT-relaxed cell (GGA-PBE, Alexandria), the powder X-ray diffraction pattern of KTa2SnI was calculated for Cu Kα.
Kinematic intensities with the Lorentz-polarization factor, no thermal factor.

Atomic structure:
Lattice parameters (Å, degrees): 5.281 5.281 6.712 90.00 90.00 90.00
Positions (direct):
K (0.000, 0.000, 0.000)
Ta (0.000, 0.500, 0.500)
Ta (0.500, 0.000, 0.500)
Sn (0.000, 0.000, 0.500)
I (0.500, 0.500, 0.000)

The 12 most intense peaks (10° ≤ 2θ ≤ 80°), low angle first:
d/Å, 2theta, I (rel.)
6.712, 13.2, 775
4.150, 21.4, 470
3.356, 26.6, 690
3.263, 27.3, 1000
2.640, 34.0, 729
2.457, 36.6, 282
2.075, 43.6, 727
1.919, 47.4, 219
1.867, 48.8, 263
1.632, 56.4, 341
1.621, 56.8, 253
1.416, 66.0, 213


Starting from a DFT-relaxed cell (GGA-PBE, Alexandria), the powder X-ray diffraction pattern of K2SrZnI6 was calculated for Cu Kα.
Kinematic intensities with the Lorentz-polarization factor, no thermal factor.

Atomic structure:
Lattice parameters (Å, degrees): 8.527 8.527 8.527 59.28 59.28 59.28
Positions (direct):
K (0.000, 0.000, 0.000)
K (0.499, 0.499, 0.499)
Sr (0.217, 0.217, 0.217)
Zn (0.716, 0.716, 0.716)
I (0.039, 0.476, 0.855)
I (0.386, 0.936, 0.574)
I (0.476, 0.855, 0.039)
I (0.574, 0.386, 0.936)
I (0.855, 0.039, 0.476)
I (0.936, 0.574, 0.386)

The 12 most intense peaks (10° ≤ 2θ ≤ 80°), low angle first:
d/Å, 2theta, I (rel.)
5.996, 14.8, 445
3.612, 24.6, 1000
3.500, 25.4, 218
3.449, 25.8, 214
2.998, 29.8, 494
2.737, 32.7, 242
2.693, 33.3, 385
2.435, 36.9, 208
2.307, 39.0, 158
2.042, 44.4, 191
2.017, 44.9, 308
1.596, 57.8, 160